Entry 1:
The following is a computed X-ray powder pattern of AcZn3Ag. It was derived from DFT lattice parameters and positions (PBE), using Cu Ka.

Cell: 6.5941 6.5941 5.8507 Å, 90.00 90.00 120.00°
Space group P6_3/mmc (No. 194)
Unique sites:
Ac 0.3333 0.6667 0.2500
Zn 0.1971 0.3942 0.7500
Ag 0.0000 0.0000 0.0000

Peak list (12 most intense, 15° ≤ 2θ ≤ 90°, sorted by position)
- 2θ 21.75, intensity 257, hkl 1 0 1
- 2θ 27.04, intensity 644, hkl 1 1 0
- 2θ 30.56, intensity 203, hkl 0 0 2
- 2θ 34.45, intensity 463, hkl 1 0 2
- 2θ 34.97, intensity 1000, hkl 2 0 1
- 2θ 44.33, intensity 426, hkl 2 0 2
- 2θ 44.75, intensity 291, hkl 2 1 1
- 2θ 55.76, intensity 228, hkl 2 2 0
- 2θ 57.20, intensity 241, hkl 2 0 3
- 2θ 67.22, intensity 161, hkl 3 1 2
- 2θ 80.29, intensity 141, hkl 3 2 2
- 2θ 89.60, intensity 123, hkl 2 2 4

---

Entry 2:
The following is a computed X-ray powder pattern of Ac2Zn5Ag. It was derived from DFT lattice parameters and positions (PBE), using Cu Ka.

Cell: 4.565 17.198 9.363 Å, 90.00 90.00 90.00°
Space group Cmcm (No. 63)
Unique sites:
Ac 0.000 0.000 0.000
Ac 0.000 0.204 0.250
Zn 0.000 0.183 0.610
Zn 0.000 0.346 0.513
Zn 0.000 0.401 0.250
Ag 0.000 0.443 0.750

Peak list (12 most intense, 15° ≤ 2θ ≤ 90°, sorted by position)
- 2θ 21.61, intensity 222, hkl 0 2 2
- 2θ 27.78, intensity 307, hkl 1 1 2
- 2θ 31.51, intensity 1000, hkl 1 3 2
- 2θ 32.61, intensity 793, hkl 1 5 0
- 2θ 35.22, intensity 334, hkl 1 1 3
- 2θ 36.77, intensity 234, hkl 0 6 2
- 2θ 38.46, intensity 202, hkl 0 0 4
- 2θ 39.48, intensity 396, hkl 2 0 0
- 2θ 42.85, intensity 171, hkl 0 6 3
- 2θ 51.28, intensity 150, hkl 1 5 4
- 2θ 55.04, intensity 144, hkl 2 6 2
- 2θ 65.25, intensity 165, hkl 1 3 6

---

Entry 3:
The following is a computed X-ray powder pattern of AcZn2Ag2. It was derived from DFT lattice parameters and positions (PBE), using Cu Ka.

Cell: 4.444 4.444 11.413 Å, 90.00 90.00 90.00°
Space group P4/nmm (No. 129, origin choice 2)
Unique sites:
Ac 0.250 0.250 0.247
Zn 0.250 0.250 0.632
Zn 0.250 0.750 0.000
Ag 0.250 0.250 0.866
Ag 0.250 0.750 0.500

Peak list (12 most intense, 15° ≤ 2θ ≤ 90°, sorted by position)
- 2θ 21.46, intensity 100, hkl 1 0 1
- 2θ 28.40, intensity 190, hkl 1 1 0
- 2θ 30.94, intensity 682, hkl 1 0 3
- 2θ 32.53, intensity 1000, hkl 1 1 2
- 2θ 40.60, intensity 525, hkl 2 0 0
- 2θ 44.63, intensity 334, hkl 1 0 5
- 2θ 51.91, intensity 322, hkl 2 1 3
- 2θ 56.56, intensity 138, hkl 1 1 6
- 2θ 58.77, intensity 173, hkl 2 2 0
- 2θ 61.90, intensity 250, hkl 2 1 5
- 2θ 68.80, intensity 225, hkl 3 1 2
- 2θ 79.91, intensity 132, hkl 2 0 8

---

Entry 4:
The following is a computed X-ray powder pattern of AcZn4Ag12. It was derived from DFT lattice parameters and positions (PBE), using Cu Ka.

Cell: 9.024 9.024 9.024 Å, 90.00 90.00 90.00°
Space group Im-3 (No. 204)
Unique sites:
Ac 0.000 0.000 0.000
Zn 0.250 0.250 0.250
Ag 0.000 0.158 0.348

Peak list (12 most intense, 15° ≤ 2θ ≤ 90°, sorted by position)
- 2θ 31.35, intensity 1000, hkl 3 1 0
- 2θ 37.28, intensity 494, hkl 3 2 1
- 2θ 44.92, intensity 98, hkl 4 2 0
- 2θ 49.48, intensity 256, hkl 4 2 2
- 2θ 51.65, intensity 348, hkl 4 1 3
- 2θ 59.75, intensity 75, hkl 5 0 3
- 2θ 61.67, intensity 104, hkl 6 0 0
- 2θ 65.41, intensity 59, hkl 6 0 2
- 2θ 70.82, intensity 157, hkl 6 3 1
- 2θ 74.33, intensity 62, hkl 5 3 4
- 2θ 81.18, intensity 91, hkl 7 0 3
- 2θ 84.55, intensity 82, hkl 7 3 2

---

Copy entry 4 word for word.
The following is a computed X-ray powder pattern of AcZn4Ag12. It was derived from DFT lattice parameters and positions (PBE), using Cu Ka.

Cell: 9.024 9.024 9.024 Å, 90.00 90.00 90.00°
Space group Im-3 (No. 204)
Unique sites:
Ac 0.000 0.000 0.000
Zn 0.250 0.250 0.250
Ag 0.000 0.158 0.348

Peak list (12 most intense, 15° ≤ 2θ ≤ 90°, sorted by position)
- 2θ 31.35, intensity 1000, hkl 3 1 0
- 2θ 37.28, intensity 494, hkl 3 2 1
- 2θ 44.92, intensity 98, hkl 4 2 0
- 2θ 49.48, intensity 256, hkl 4 2 2
- 2θ 51.65, intensity 348, hkl 4 1 3
- 2θ 59.75, intensity 75, hkl 5 0 3
- 2θ 61.67, intensity 104, hkl 6 0 0
- 2θ 65.41, intensity 59, hkl 6 0 2
- 2θ 70.82, intensity 157, hkl 6 3 1
- 2θ 74.33, intensity 62, hkl 5 3 4
- 2θ 81.18, intensity 91, hkl 7 0 3
- 2θ 84.55, intensity 82, hkl 7 3 2